Entry 1:
# SmC2O6
Simulated X-ray diffraction stick pattern, copper Kα. Input: a PBE-relaxed structure.
Peak positions follow from Bragg's law for the DFT cell and can differ from measured ones.

```
data_SmC2O6
_cell_length_a 8.0090
_cell_length_b 8.0090
_cell_length_c 7.0192
_cell_angle_alpha 90.00
_cell_angle_beta 90.00
_cell_angle_gamma 90.00
_symmetry_space_group_name_H-M 'I -4 2 d'
_symmetry_Int_Tables_number 122
_symmetry_space_group_name_Hall 'I -4 2bw'
loop_
_atom_site_label
_atom_site_type_symbol
_atom_site_fract_x
_atom_site_fract_y
_atom_site_fract_z
Sm1 Sm 0.0000 0.0000 0.0000
C1 C 0.1853 0.7500 0.6250
O1 O 0.1061 0.6465 0.5202
O2 O 0.1522 0.7500 0.1250
```

Peak list (12 most intense, 10 to 90 degrees two-theta, by angle)
Position (°2θ), d (Å), I (rel.), h k l
16.80, 5.279, 100, 1 0 1
22.20, 4.004, 27, 2 0 0
27.97, 3.190, 71, 2 1 1
29.95, 2.983, 41, 1 1 2
31.60, 2.832, 31, 2 2 0
40.15, 2.246, 13, 1 0 3
42.69, 2.118, 22, 3 2 1
44.09, 2.054, 53, 3 1 2
46.35, 1.959, 21, 2 1 3
48.64, 1.872, 17, 4 1 1
59.16, 1.562, 13, 5 0 1
65.06, 1.434, 14, 5 1 2

Entry 2:
# SrC2O4
Simulated X-ray diffraction stick pattern, copper Kα. Input: a PBE-relaxed structure.
Peak positions follow from Bragg's law for the DFT cell and can differ from measured ones.

```
data_SrC2O4
_cell_length_a 5.8428
_cell_length_b 8.6961
_cell_length_c 8.8633
_cell_angle_alpha 90.00
_cell_angle_beta 90.00
_cell_angle_gamma 90.00
_symmetry_space_group_name_H-M 'P 21 21 21'
_symmetry_Int_Tables_number 19
loop_
_symmetry_equiv_pos_as_xyz
'x,y,z'
'-x+1/2,-y,z+1/2'
'x+1/2,-y+1/2,-z'
'-x,y+1/2,-z+1/2'
loop_
_atom_site_label
_atom_site_type_symbol
_atom_site_fract_x
_atom_site_fract_y
_atom_site_fract_z
Sr1 Sr 0.0611 0.1193 0.4266
C1 C 0.0451 0.4540 0.3364
C2 C 0.1019 0.2535 0.8453
O1 O 0.0124 0.8218 0.7407
O2 O 0.1403 0.8743 0.1256
O3 O 0.2073 0.1870 0.9378
O4 O 0.2269 0.4142 0.4126
```

Peak list (12 most intense, 10 to 90 degrees two-theta, by angle)
Position (°2θ), d (Å), I (rel.), h k l
14.27, 6.207, 100, 0 1 1
20.88, 4.255, 52, 1 1 1
25.22, 3.531, 27, 1 0 2
25.54, 3.488, 27, 1 2 0
27.26, 3.272, 92, 1 1 2
32.31, 2.771, 22, 2 1 0
32.50, 2.755, 58, 0 3 1
32.67, 2.741, 50, 1 2 2
33.98, 2.638, 73, 1 0 3
40.25, 2.240, 23, 1 3 2
42.50, 2.127, 22, 2 2 2
52.51, 1.743, 24, 3 2 1

Entry 3:
# Sr3C2O8
Simulated X-ray diffraction stick pattern, copper Kα. Input: a PBE-relaxed structure.
Peak positions follow from Bragg's law for the DFT cell and can differ from measured ones.

```
data_Sr3C2O8
_cell_length_a 5.2337
_cell_length_b 5.2337
_cell_length_c 20.0309
_cell_angle_alpha 90.00
_cell_angle_beta 90.00
_cell_angle_gamma 120.00
_symmetry_space_group_name_H-M 'R -3 m'
_symmetry_Int_Tables_number 166
_symmetry_space_group_name_Hall '-R 3 2"'
loop_
_atom_site_label
_atom_site_type_symbol
_atom_site_fract_x
_atom_site_fract_y
_atom_site_fract_z
Sr1 Sr 0.0000 0.0000 0.0000
Sr2 Sr 0.0000 0.0000 0.2127
C1 C 0.0000 0.0000 0.4112
O1 O 0.0000 0.0000 0.3409
O2 O 0.0393 0.5197 0.2347
```

Peak list (12 most intense, 10 to 90 degrees two-theta, by angle)
Position (°2θ), d (Å), I (rel.), h k l
20.09, 4.421, 17, 1 0 1
26.52, 3.360, 32, 1 0 4
29.76, 3.002, 100, 0 1 5
34.27, 2.617, 85, 1 1 0
40.53, 2.226, 24, 0 0 9
40.82, 2.210, 16, 2 0 2
43.85, 2.065, 29, 0 2 4
46.01, 1.973, 39, 2 0 5
49.77, 1.832, 15, 1 0 10
54.09, 1.695, 31, 1 1 9
58.61, 1.575, 21, 1 2 5
72.20, 1.308, 15, 2 2 0